This entry pairs a crystal structure of Mg2In with its computed XRD peak list. Radiation: Cu Kα X-rays. Structure: a crystal structure in the Materials Project, relaxed with PBE.
Lines closer than 0.1° are merged.

Cell and atoms:
abc: 3.5145 15.8190 5.0170
angles: 90.00 90.00 90.00
Positions (direct):
Mg  0.0000  0.0585  0.2500
Mg  0.0000  0.2744  0.7500
Mg  0.0000  0.7256  0.2500
Mg  0.0000  0.9415  0.7500
Mg  0.5000  0.2256  0.2500
Mg  0.5000  0.4415  0.7500
Mg  0.5000  0.5585  0.2500
Mg  0.5000  0.7744  0.7500
In  0.0000  0.3899  0.2500
In  0.0000  0.6101  0.7500
In  0.5000  0.1101  0.7500
In  0.5000  0.8899  0.2500

Most intense lines, 2θ = 10–90°, sorted by position:
d [Å], I (rel.)
4.237, 69
3.955, 26
3.431, 25
2.924, 22
2.832, 21
2.527, 100
2.508, 32
2.334, 35
1.452, 17
1.332, 16

This entry pairs a crystal structure of MgIn2 with its computed XRD peak list. Radiation: Cu Kα X-rays. Structure: a crystal structure in the Materials Project, relaxed with PBE.
Lines closer than 0.1° are merged.

Cell and atoms:
abc: 3.2339 16.8756 5.5913
angles: 90.00 90.00 90.00
Positions (direct):
Mg  0.0000  0.1101  0.2500
Mg  0.0000  0.8899  0.7500
Mg  0.5000  0.3899  0.7500
Mg  0.5000  0.6101  0.2500
In  0.0000  0.2241  0.7500
In  0.0000  0.4459  0.2500
In  0.0000  0.5541  0.7500
In  0.0000  0.7759  0.2500
In  0.5000  0.0541  0.7500
In  0.5000  0.2759  0.2500
In  0.5000  0.7241  0.7500
In  0.5000  0.9459  0.2500

Most intense lines, 2θ = 10–90°, sorted by position:
d [Å], I (rel.)
4.661, 23
4.219, 11
2.813, 8
2.798, 45
2.508, 100
1.981, 16
1.622, 11
1.553, 22
1.403, 15
1.360, 9

This entry pairs a crystal structure of MgIn3 with its computed XRD peak list. Radiation: Cu Kα X-rays. Structure: a crystal structure in the Materials Project, relaxed with PBE.
Lines closer than 0.1° are merged.

Cell and atoms:
abc: 6.5068 6.5068 5.6106
angles: 90.00 90.00 120.00
Positions (direct):
Mg  0.3333  0.6667  0.2500
Mg  0.6667  0.3333  0.7500
In  0.1670  0.3341  0.7500
In  0.1670  0.8330  0.7500
In  0.3341  0.1670  0.2500
In  0.6659  0.8330  0.7500
In  0.8330  0.1670  0.2500
In  0.8330  0.6659  0.2500

Most intense lines, 2θ = 10–90°, sorted by position:
d [Å], I (rel.)
3.976, 19
3.253, 8
2.818, 22
2.805, 30
2.518, 100
1.989, 22
1.627, 17
1.558, 21
1.407, 23
1.366, 14

This entry pairs a crystal structure of MgIn2 with its computed XRD peak list. Radiation: Cu Kα X-rays. Structure: a crystal structure in the Materials Project, relaxed with PBE.
Lines closer than 0.1° are merged.

Cell and atoms:
abc: 12.7410 3.2536 7.6615
angles: 90.00 105.58 90.00
Positions (direct):
Mg  0.1397  0.0000  0.0275
Mg  0.3603  0.5000  0.9725
Mg  0.6397  0.5000  0.0275
Mg  0.8603  0.0000  0.9725
In  0.0272  0.5000  0.2932
In  0.1951  0.0000  0.6471
In  0.3049  0.5000  0.3529
In  0.4728  0.0000  0.7068
In  0.5272  0.0000  0.2932
In  0.6951  0.5000  0.6471
In  0.8049  0.0000  0.3529
In  0.9728  0.5000  0.7068

Most intense lines, 2θ = 10–90°, sorted by position:
d [Å], I (rel.)
7.380, 68
3.690, 28
3.147, 28
2.824, 40
2.750, 76
2.597, 48
2.546, 100
2.479, 87
2.460, 39
1.638, 30

This entry pairs a crystal structure of MgIn2 with its computed XRD peak list. Radiation: Cu Kα X-rays. Structure: a crystal structure in the Materials Project, relaxed with PBE.
Lines closer than 0.1° are merged.

Cell and atoms:
abc: 3.3577 3.3577 13.2621
angles: 90.00 90.00 90.00
Positions (direct):
Mg  0.0000  0.0000  0.0000
Mg  0.5000  0.5000  0.5000
In  0.0000  0.0000  0.3393
In  0.0000  0.0000  0.6607
In  0.5000  0.5000  0.1607
In  0.5000  0.5000  0.8393

Most intense lines, 2θ = 10–90°, sorted by position:
d [Å], I (rel.)
6.631, 19
3.255, 25
2.674, 100
2.374, 36
2.210, 14
1.679, 12
1.618, 20
1.422, 27
1.349, 10
1.337, 10

This entry pairs a crystal structure of MgIn2 with its computed XRD peak list. Radiation: Cu Kα X-rays. Structure: a crystal structure in the Materials Project, relaxed with PBE.
Lines closer than 0.1° are merged.

Cell and atoms:
abc: 5.7598 5.7598 5.2752
angles: 90.00 90.00 120.00
Positions (direct):
Mg  0.3333  0.6667  0.0000
Mg  0.6667  0.3333  0.0000
In  0.0000  0.0000  0.0000
In  0.0000  0.6595  0.5000
In  0.3405  0.3405  0.5000
In  0.6595  0.0000  0.5000

Most intense lines, 2θ = 10–90°, sorted by position:
d [Å], I (rel.)
5.275, 16
3.624, 12
2.880, 31
2.638, 24
2.528, 100
1.945, 20
1.663, 17
1.501, 19
1.407, 19
1.389, 14

This entry pairs a crystal structure of Mg2Mn3InS8 with its computed XRD peak list. Radiation: Cu Kα X-rays. Structure: a crystal structure in the Materials Project, relaxed with PBE.
Lines closer than 0.1° are merged.

Cell and atoms:
abc: 7.3368 7.3368 7.4744
angles: 119.87 119.87 60.56
Positions (direct):
Mg  0.1257  0.1257  0.3776
Mg  0.8743  0.8743  0.6224
Mn  0.0000  0.5000  0.0000
Mn  0.5000  0.0000  0.0000
Mn  0.5000  0.5000  0.0000
In  0.5000  0.5000  0.5000
S  0.2488  0.2488  0.2148
S  0.2531  0.7173  0.2229
S  0.2608  0.2608  0.7805
S  0.2827  0.7469  0.7771
S  0.7173  0.2531  0.2229
S  0.7392  0.7392  0.2195
S  0.7469  0.2827  0.7771
S  0.7512  0.7512  0.7852

Most intense lines, 2θ = 10–90°, sorted by position:
d [Å], I (rel.)
6.017, 100
3.188, 20
3.163, 50
3.127, 25
2.629, 81
2.588, 39
2.022, 19
1.855, 36
1.850, 19
1.834, 38

This entry pairs a crystal structure of MgMnInS4 with its computed XRD peak list. Radiation: Cu Kα X-rays. Structure: a crystal structure in the Materials Project, relaxed with PBE.
Lines closer than 0.1° are merged.

Cell and atoms:
abc: 7.4737 7.4798 7.4825
angles: 89.25 60.06 60.10
Positions (direct):
Mg  0.2496  0.1225  0.3774
Mg  0.7504  0.8775  0.6226
Mn  0.0000  0.5000  0.0000
Mn  0.5000  0.5000  0.0000
In  0.0000  0.0000  0.0000
In  0.5000  0.5000  0.5000
S  0.0085  0.7307  0.7690
S  0.0274  0.7236  0.2210
S  0.4721  0.2793  0.7766
S  0.4914  0.7311  0.7692
S  0.5086  0.2689  0.2308
S  0.5279  0.7207  0.2234
S  0.9726  0.2764  0.7790
S  0.9915  0.2693  0.2310

Most intense lines, 2θ = 10–90°, sorted by position:
d [Å], I (rel.)
6.156, 34
6.091, 95
3.223, 69
3.194, 20
3.174, 43
2.664, 90
2.628, 42
2.043, 23
1.899, 20
1.870, 100

This entry pairs a crystal structure of MgInMoS4 with its computed XRD peak list. Radiation: Cu Kα X-rays. Structure: a crystal structure in the Materials Project, relaxed with PBE.
Lines closer than 0.1° are merged.

Cell and atoms:
abc: 7.5758 7.5758 7.5758
angles: 120.21 119.98 89.84
Positions (direct):
Mg  0.3744  0.1244  0.2500
Mg  0.6256  0.8756  0.7500
In  0.0000  0.5000  0.5000
In  0.5000  0.5000  0.0000
Mo  0.0000  0.0000  0.5000
Mo  0.0000  0.5000  0.0000
S  0.2194  0.7465  0.4729
S  0.2263  0.2535  0.9729
S  0.2343  0.2440  0.5097
S  0.2343  0.7246  0.9903
S  0.7657  0.2754  0.0097
S  0.7657  0.7560  0.4903
S  0.7737  0.7465  0.0271
S  0.7806  0.2535  0.5271

Most intense lines, 2θ = 10–90°, sorted by position:
d [Å], I (rel.)
6.182, 100
3.229, 92
3.091, 12
2.677, 93
2.062, 28
2.058, 17
1.894, 69
1.888, 14
1.812, 15
1.094, 12